This entry pairs a crystal structure of CeHoGaGe with its theoretical powder diffraction line list. Radiation: Cu Kα, 1.54184 Å. Structure: a crystal structure in Alexandria, relaxed with PBE.
Neutral-atom scattering factors, no anomalous dispersion.

Main lines, by angle (2θ = 10–90°):
d (Å)	Position (°2θ)	intensity	hkl
3.249	27.46	22.9	1 0 2
2.857	31.31	100.0	1 1 1
2.800	31.96	41.6	0 1 3
2.741	32.67	26.9	0 0 4
2.300	39.17	50.7	1 1 3
2.267	39.76	18.3	1 0 4
2.178	41.46	25.7	0 2 0
2.016	44.96	20.4	2 0 0
1.636	56.22	16.7	2 1 3
1.480	62.80	14.9	2 2 0

Structure:
Lattice parameters (Å, degrees): 4.0328 4.3563 10.9656 90.00 90.00 90.00
Space group Amm2 (No. 38)
Symmetry-distinct sites (fractional):
Ce: 0.0000 0.0000 0.0000 (multiplicity 2)
Ho: 0.5000 0.0000 0.2810 (multiplicity 2)
Ga: 0.5000 0.0000 0.5673 (multiplicity 2)
Ge: 0.0000 0.0000 0.7211 (multiplicity 2)

This entry pairs a crystal structure of In3GaAg with its theoretical powder diffraction line list. Radiation: Cu Kα, 1.54184 Å. Structure: a crystal structure in Alexandria, relaxed with PBE.
Neutral-atom scattering factors, no anomalous dispersion.

Main lines, by angle (2θ = 10–90°):
d (Å)	Position (°2θ)	intensity	hkl
2.806	31.89	14.9	1 1 2
2.776	32.25	100.0	5 1 1
2.511	35.76	24.3	3 3 -1
2.421	37.13	53.3	4 0 -2
2.394	37.57	24.5	6 2 0
2.305	39.09	20.0	2 4 0
2.161	41.80	13.9	4 2 -2
1.679	54.65	12.8	1 3 3
1.548	59.73	15.3	6 4 2
1.492	62.23	10.0	4 6 0

Structure:
Lattice parameters (Å, degrees): 16.5752 9.5968 5.9639 90.00 90.10 90.00
Space group C2/c (No. 15)
Symmetry-distinct sites (fractional):
In: 0.0675 0.2500 0.0006 (multiplicity 8)
In: 0.1480 0.0916 0.4554 (multiplicity 8)
In: 0.1477 0.4071 0.5461 (multiplicity 8)
Ga: 0.2494 0.3480 0.1496 (multiplicity 8)
Ag: 0.0000 0.0045 0.7500 (multiplicity 4)
Ag: 0.0000 0.4955 0.2500 (multiplicity 4)

This entry pairs a crystal structure of Mg2Cu7Se3 with its theoretical powder diffraction line list. Radiation: Cu Kα, 1.54184 Å. Structure: a crystal structure in Alexandria, relaxed with PBE.
Neutral-atom scattering factors, no anomalous dispersion.

Main lines, by angle (2θ = 10–90°):
d (Å)	Position (°2θ)	intensity	hkl
2.990	29.89	27.3	0 0 9
2.869	31.17	35.5	1 0 7
2.652	33.80	55.3	0 1 8
2.489	36.08	26.0	1 1 0
2.177	41.49	100.0	1 1 6
2.149	42.05	66.9	0 2 1
2.128	42.48	57.9	0 1 11
2.053	44.11	28.2	0 2 4
2.001	45.31	69.0	2 0 5
1.245	76.54	31.8	2 2 0

Structure:
Lattice parameters (Å, degrees): 4.9788 4.9788 26.9057 90.00 90.00 120.00
Space group R-3m (No. 166, hexagonal axes)
Symmetry-distinct sites (fractional):
Mg: 0.0000 0.0000 0.1677 (multiplicity 6)
Cu: 0.0000 0.0000 0.0000 (multiplicity 3)
Cu: 0.0041 0.5021 0.4087 (multiplicity 18)
Se: 0.0000 0.0000 0.3680 (multiplicity 6)
Se: 0.0000 0.0000 0.5000 (multiplicity 3)

This entry pairs a crystal structure of ZnCr2Fe2 with its theoretical powder diffraction line list. Radiation: Cu Kα, 1.54184 Å. Structure: a crystal structure in Alexandria, relaxed with PBE.
Neutral-atom scattering factors, no anomalous dispersion.

Main lines, by angle (2θ = 10–90°):
d (Å)	Position (°2θ)	intensity	hkl
2.437	36.88	12.4	2 2 0
2.253	40.02	14.6	1 1 1
2.180	41.42	94.4	3 1 0
2.045	44.29	12.2	2 0 1
1.961	46.31	100.0	2 1 1
1.542	60.01	10.8	4 2 0
1.528	60.61	10.4	3 2 1
1.219	78.48	9.3	4 4 0
1.143	84.80	22.6	5 2 1
1.097	89.25	17.7	3 1 2

Structure:
Lattice parameters (Å, degrees): 6.8943 6.8943 2.5402 90.00 90.00 90.00
Space group P4/mbm (No. 127)
Symmetry-distinct sites (fractional):
Zn: 0.0000 0.0000 0.0000 (multiplicity 2)
Cr: 0.1434 0.3566 0.0000 (multiplicity 4)
Fe: 0.1464 0.6464 0.5000 (multiplicity 4)

This entry pairs a crystal structure of ErCu5Pd6 with its theoretical powder diffraction line list. Radiation: Cu Kα, 1.54184 Å. Structure: a crystal structure in Alexandria, relaxed with PBE.
Neutral-atom scattering factors, no anomalous dispersion.

Main lines, by angle (2θ = 10–90°):
d (Å)	Position (°2θ)	intensity	hkl
2.238	40.29	100.0	1 3 2
2.056	44.04	19.7	2 0 0
2.033	44.58	18.6	0 6 0
1.769	51.69	11.4	0 0 4
1.446	64.46	11.9	2 6 0
1.341	70.20	8.8	2 0 4
1.219	78.43	13.5	3 3 2
1.209	79.20	12.4	1 9 2
1.119	87.07	9.7	2 6 4
1.092	89.85	8.5	1 3 6

Structure:
Lattice parameters (Å, degrees): 4.1123 12.1953 7.0741 90.00 90.00 90.00
Space group Cmmm (No. 65)
Symmetry-distinct sites (fractional):
Er: 0.0000 0.0000 0.0000 (multiplicity 2)
Cu: 0.0000 0.0000 0.5000 (multiplicity 2)
Cu: 0.0000 0.3234 0.0000 (multiplicity 4)
Cu: 0.0000 0.3360 0.5000 (multiplicity 4)
Pd: 0.0000 0.1702 0.2625 (multiplicity 8)
Pd: 0.0000 0.5000 0.2646 (multiplicity 4)

This entry pairs a crystal structure of CeDy4Ho15 with its theoretical powder diffraction line list. Radiation: Cu Kα, 1.54184 Å. Structure: a crystal structure in Alexandria, relaxed with PBE.
Neutral-atom scattering factors, no anomalous dispersion.

Main lines, by angle (2θ = 10–90°):
d (Å)	Position (°2θ)	intensity	hkl
2.881	31.04	100.0	1 1 5
2.495	35.99	50.6	2 0 0
1.764	51.82	36.0	2 2 0
1.506	61.60	28.5	3 1 5
1.503	61.73	14.2	1 1 15
1.441	64.71	12.3	2 2 10
1.146	84.58	6.0	3 3 5
1.144	84.70	11.9	3 1 15
1.117	87.33	11.2	4 2 0
1.115	87.53	5.6	2 0 20

Structure:
Lattice parameters (Å, degrees): 4.9945 4.9945 24.9087 90.00 90.00 90.00
Space group P4/mmm (No. 123)
Symmetry-distinct sites (fractional):
Ce: 0.0000 0.0000 0.0000 (multiplicity 1)
Dy: 0.0000 0.0000 0.1992 (multiplicity 2)
Dy: 0.0000 0.0000 0.3999 (multiplicity 2)
Ho: 0.0000 0.5000 0.0993 (multiplicity 4)
Ho: 0.0000 0.5000 0.2997 (multiplicity 4)
Ho: 0.0000 0.5000 0.5000 (multiplicity 2)
Ho: 0.5000 0.5000 0.0000 (multiplicity 1)
Ho: 0.5000 0.5000 0.2007 (multiplicity 2)
Ho: 0.5000 0.5000 0.3999 (multiplicity 2)

This entry pairs a crystal structure of Dy6CuNi2 with its theoretical powder diffraction line list. Radiation: Cu Kα, 1.54184 Å. Structure: a crystal structure in Alexandria, relaxed with PBE.
Neutral-atom scattering factors, no anomalous dispersion.

Main lines, by angle (2θ = 10–90°):
d (Å)	Position (°2θ)	intensity	hkl
3.372	26.43	29.6	2 0 2
3.078	29.01	27.7	0 1 3
3.000	29.78	23.3	0 3 1
2.953	30.27	33.9	3 1 0
2.746	32.61	100.0	2 2 2
2.569	34.93	49.9	2 1 3
2.548	35.23	67.3	1 3 2
2.523	35.58	66.7	2 3 1
2.331	38.62	29.3	4 0 0
1.525	60.74	31.7	5 3 2

Structure:
Lattice parameters (Å, degrees): 9.3254 9.4565 9.7671 90.00 90.00 90.00
Space group Immm (No. 71)
Symmetry-distinct sites (fractional):
Dy: 0.0000 0.1873 0.2436 (multiplicity 8)
Dy: 0.1907 0.5000 0.1736 (multiplicity 8)
Dy: 0.2255 0.3228 0.5000 (multiplicity 8)
Cu: 0.0000 0.0000 0.0000 (multiplicity 2)
Cu: 0.0000 0.0000 0.5000 (multiplicity 2)
Ni: 0.0000 0.3415 0.0000 (multiplicity 4)
Ni: 0.0000 0.5000 0.3808 (multiplicity 4)

This entry pairs a crystal structure of Y5Er5Tm2 with its theoretical powder diffraction line list. Radiation: Cu Kα, 1.54184 Å. Structure: a crystal structure in Alexandria, relaxed with PBE.
Neutral-atom scattering factors, no anomalous dispersion.

Main lines, by angle (2θ = 10–90°):
d (Å)	Position (°2θ)	intensity	hkl
7.266	12.18	2.0	2 0 -1
2.883	31.02	100.0	3 1 1
2.496	35.97	50.4	0 2 0
1.765	51.79	35.5	6 0 2
1.505	61.61	42.0	3 3 1
1.441	64.67	12.1	6 2 2
1.249	76.24	3.7	0 0 8
1.145	84.60	17.4	9 1 3
1.117	87.28	8.1	6 0 6
1.116	87.40	8.1	0 4 4

Structure:
Lattice parameters (Å, degrees): 14.9787 4.9882 11.1724 90.00 116.53 90.00
Space group C2/m (No. 12)
Symmetry-distinct sites (fractional):
Y: 0.0000 0.0000 0.0000 (multiplicity 2)
Y: 0.1653 0.0000 0.4994 (multiplicity 4)
Y: 0.2504 0.0000 0.2492 (multiplicity 4)
Er: 0.0000 0.5000 0.5000 (multiplicity 2)
Er: 0.0820 0.5000 0.2496 (multiplicity 4)
Er: 0.1672 0.5000 0.0001 (multiplicity 4)
Tm: 0.0834 0.0000 0.7514 (multiplicity 4)

This entry pairs a crystal structure of Ce5PaIr4 with its theoretical powder diffraction line list. Radiation: Cu Kα, 1.54184 Å. Structure: a crystal structure in Alexandria, relaxed with PBE.
Neutral-atom scattering factors, no anomalous dispersion.

Main lines, by angle (2θ = 10–90°):
d (Å)	Position (°2θ)	intensity	hkl
8.316	10.64	12.7	2 0 0
7.382	11.99	21.3	0 0 1
3.621	24.58	14.3	1 1 -1
2.813	31.81	100.0	1 1 -2
2.772	32.29	51.1	6 0 0
2.055	44.07	22.9	0 2 0
2.037	44.47	43.5	7 1 -2
1.929	47.12	12.6	2 0 -4
1.917	47.43	35.7	5 1 2
1.650	55.70	30.8	6 2 0

Structure:
Lattice parameters (Å, degrees): 17.4445 4.1101 7.7423 90.00 107.55 90.00
Space group C2/m (No. 12)
Symmetry-distinct sites (fractional):
Ce: 0.0000 0.0000 0.0000 (multiplicity 2)
Ce: 0.1646 0.5000 0.3619 (multiplicity 4)
Ce: 0.1744 0.5000 0.8689 (multiplicity 4)
Pa: 0.0000 0.0000 0.5000 (multiplicity 2)
Ir: 0.0046 0.5000 0.7542 (multiplicity 4)
Ir: 0.1732 0.0000 0.6225 (multiplicity 4)

This entry pairs a crystal structure of NaHCN2 with its theoretical powder diffraction line list. Radiation: Cu Kα, 1.54184 Å. Structure: a crystal structure in Alexandria, relaxed with PBE.
Neutral-atom scattering factors, no anomalous dispersion.

Main lines, by angle (2θ = 10–90°):
d (Å)	Position (°2θ)	intensity	hkl
3.372	26.44	18.0	1 1 0
3.288	27.12	16.2	0 0 2
3.000	29.78	100.0	1 1 1
2.783	32.16	88.2	0 2 2
2.491	36.06	32.5	1 3 0
2.354	38.23	93.6	1 1 2
2.046	44.27	27.2	0 4 2
1.986	45.69	23.7	1 3 2
1.803	50.62	17.7	1 5 0
1.644	55.92	19.3	0 0 4

Structure:
Lattice parameters (Å, degrees): 3.5618 10.4545 6.5770 90.00 90.00 90.00
Space group Pbcm (No. 57)
Symmetry-distinct sites (fractional):
Na: 0.2459 0.2500 0.0000 (multiplicity 4)
H: 0.1625 0.5892 0.2500 (multiplicity 4)
C: 0.1961 0.5480 0.7500 (multiplicity 4)
N: 0.1207 0.0716 0.2500 (multiplicity 4)
N: 0.2928 0.6582 0.7500 (multiplicity 4)

This entry pairs a crystal structure of Ac3Pr3In2 with its theoretical powder diffraction line list. Radiation: Cu Kα, 1.54184 Å. Structure: a crystal structure in Alexandria, relaxed with PBE.
Neutral-atom scattering factors, no anomalous dispersion.

Main lines, by angle (2θ = 10–90°):
d (Å)	Position (°2θ)	intensity	hkl
3.319	26.86	42.2	1 3 0
3.278	27.20	100.0	1 1 4
3.164	28.20	36.6	0 4 1
2.896	30.88	84.1	1 3 3
2.869	31.18	21.0	1 1 5
2.621	34.21	45.3	2 0 0
2.606	34.42	20.6	0 4 4
2.018	44.91	24.9	2 4 1
1.848	49.32	17.9	2 4 4
1.613	57.10	14.3	3 1 4

Structure:
Lattice parameters (Å, degrees): 5.2415 12.8628 17.7830 90.00 90.00 90.00
Space group Cmcm (No. 63)
Symmetry-distinct sites (fractional):
Ac: 0.0000 0.0522 0.1094 (multiplicity 8)
Ac: 0.0000 0.3212 0.2500 (multiplicity 4)
Pr: 0.0000 0.3646 0.0378 (multiplicity 8)
Pr: 0.0000 0.3998 0.7500 (multiplicity 4)
In: 0.0000 0.2321 0.6183 (multiplicity 8)

This entry pairs a crystal structure of Tc2Ni7Pt3 with its theoretical powder diffraction line list. Radiation: Cu Kα, 1.54184 Å. Structure: a crystal structure in Alexandria, relaxed with PBE.
Neutral-atom scattering factors, no anomalous dispersion.

Main lines, by angle (2θ = 10–90°):
d (Å)	Position (°2θ)	intensity	hkl
5.186	17.10	27.6	0 0 3
3.023	29.55	20.9	0 1 3
2.161	41.81	100.0	1 1 0
2.127	42.49	93.5	0 1 6
1.859	48.99	62.0	0 2 0
1.852	49.21	30.3	1 0 6
1.315	71.81	19.0	1 2 -6
1.312	71.95	18.9	1 2 6
1.127	86.29	11.7	2 1 -6
1.124	86.60	23.6	1 3 0

Structure:
Lattice parameters (Å, degrees): 2.6541 3.7209 15.5576 90.00 90.20 90.00
Space group Pm (No. 6)
Symmetry-distinct sites (fractional):
Tc: 0.0000 0.0000 0.0000 (multiplicity 1)
Tc: 0.4996 0.5000 0.4320 (multiplicity 1)
Ni: 0.9999 0.0000 0.5116 (multiplicity 1)
Ni: 0.0005 0.0000 0.8431 (multiplicity 1)
Ni: 0.0020 0.0000 0.1760 (multiplicity 1)
Ni: 0.4982 0.5000 0.5912 (multiplicity 1)
Ni: 0.4993 0.5000 0.2563 (multiplicity 1)
Ni: 0.4997 0.5000 0.7626 (multiplicity 1)
Ni: 0.4999 0.5000 0.9202 (multiplicity 1)
Pt: 0.5015 0.5000 0.0904 (multiplicity 1)
Pt: 0.9983 0.0000 0.3417 (multiplicity 1)
Pt: 0.9987 0.0000 0.6779 (multiplicity 1)